(1)
For La2Nd5, a DFT-relaxed cell (PBE, Alexandria) gives the calculated powder X-ray diffraction pattern in this record (Cu Kα (weighted mean of Kα1 and Kα2)).
Neutral-atom scattering factors, no anomalous dispersion.

Top 10 peaks for 2θ = 5–70°, by angle:
d = 2.958 Å, rel. 79
d = 2.922 Å, rel. 100
d = 2.698 Å, rel. 13
d = 2.408 Å, rel. 7
d = 2.079 Å, rel. 29
d = 1.694 Å, rel. 31
d = 1.687 Å, rel. 20
d = 1.641 Å, rel. 6
d = 1.470 Å, rel. 14
d = 1.461 Å, rel. 12

Cell and atoms:
a = 9.149 Å, b = 9.149 Å, c = 9.149 Å
α = 37.26°, β = 37.26°, γ = 37.26°
Fractional coordinates of all 7 atoms:
La: 0.135 0.135 0.135
La: 0.865 0.865 0.865
Nd: 0.000 0.000 0.000
Nd: 0.272 0.272 0.272
Nd: 0.414 0.414 0.414
Nd: 0.586 0.586 0.586
Nd: 0.728 0.728 0.728

=====

(2)
For TlTeN2, a DFT-relaxed cell (PBE, Alexandria) gives the calculated powder X-ray diffraction pattern in this record (Cu Kα (weighted mean of Kα1 and Kα2)).
Neutral-atom scattering factors, no anomalous dispersion.

Top 10 peaks for 2θ = 5–70°, by angle:
d = 12.250 Å, rel. 100
d = 5.473 Å, rel. 21
d = 4.328 Å, rel. 21
d = 3.825 Å, rel. 8
d = 3.244 Å, rel. 42
d = 2.737 Å, rel. 11
d = 2.722 Å, rel. 17
d = 2.487 Å, rel. 19
d = 2.448 Å, rel. 16
d = 2.165 Å, rel. 7

Cell and atoms:
a = 4.329 Å, b = 6.117 Å, c = 12.436 Å
α = 89.83°, β = 80.08°, γ = 89.87°
Fractional coordinates of all 8 atoms:
Tl: 0.081 0.251 0.335
Tl: 0.919 0.749 0.665
Te: 0.500 0.000 0.500
Te: 0.500 0.500 0.500
N: 0.130 0.825 0.097
N: 0.283 0.679 0.097
N: 0.717 0.321 0.903
N: 0.870 0.175 0.903

=====

(3)
For SrNb2Bi2O9, a DFT-relaxed cell (PBE, Alexandria) gives the calculated powder X-ray diffraction pattern in this record (Cu Kα (weighted mean of Kα1 and Kα2)).
Neutral-atom scattering factors, no anomalous dispersion.

Top 10 peaks for 2θ = 5–70°, by angle:
d = 12.682 Å, rel. 24
d = 3.621 Å, rel. 23
d = 3.145 Å, rel. 100
d = 2.844 Å, rel. 15
d = 2.823 Å, rel. 17
d = 2.536 Å, rel. 11
d = 2.004 Å, rel. 15
d = 1.887 Å, rel. 11
d = 1.694 Å, rel. 16
d = 1.685 Å, rel. 13

Cell and atoms:
a = 12.993 Å, b = 12.993 Å, c = 5.687 Å
α = 90.00°, β = 90.00°, γ = 25.10°
Fractional coordinates of all 28 atoms:
Sr: 0.248 0.752 0.500
Sr: 0.752 0.248 0.000
Nb: 0.168 0.666 0.992
Nb: 0.334 0.832 0.992
Nb: 0.666 0.168 0.492
Nb: 0.832 0.334 0.492
Bi: 0.014 0.586 0.584
Bi: 0.414 0.986 0.584
Bi: 0.586 0.014 0.084
Bi: 0.986 0.414 0.084
O: 0.015 0.674 0.956
O: 0.042 0.090 0.733
O: 0.090 0.042 0.233
O: 0.231 0.271 0.793
O: 0.271 0.231 0.293
O: 0.306 0.694 0.951
O: 0.326 0.985 0.956
O: 0.384 0.443 0.686
O: 0.443 0.384 0.186
O: 0.557 0.616 0.686
O: 0.616 0.557 0.186
O: 0.674 0.015 0.456
O: 0.694 0.306 0.451
O: 0.729 0.769 0.793
O: 0.769 0.729 0.293
O: 0.910 0.958 0.733
O: 0.958 0.910 0.233
O: 0.985 0.326 0.456

=====

(4)
For Pm10PrTm6, a DFT-relaxed cell (PBE, Alexandria) gives the calculated powder X-ray diffraction pattern in this record (Cu Kα (weighted mean of Kα1 and Kα2)).
Neutral-atom scattering factors, no anomalous dispersion.

Top 10 peaks for 2θ = 5–70°, by angle:
d = 2.904 Å, rel. 37
d = 2.825 Å, rel. 82
d = 2.814 Å, rel. 100
d = 2.224 Å, rel. 10
d = 1.994 Å, rel. 27
d = 1.871 Å, rel. 12
d = 1.630 Å, rel. 27
d = 1.622 Å, rel. 19
d = 1.560 Å, rel. 9
d = 1.486 Å, rel. 11

Cell and atoms:
a = 9.787 Å, b = 9.787 Å, c = 6.878 Å
α = 90.00°, β = 90.00°, γ = 120.00°
Fractional coordinates of all 17 atoms:
Pm: 0.000 0.279 0.321
Pm: 0.000 0.721 0.679
Pm: 0.279 0.000 0.321
Pm: 0.279 0.279 0.679
Pm: 0.333 0.667 0.000
Pm: 0.333 0.667 0.500
Pm: 0.667 0.333 0.000
Pm: 0.667 0.333 0.500
Pm: 0.721 0.000 0.679
Pm: 0.721 0.721 0.321
Pr: 0.000 0.000 0.000
Tm: 0.000 0.370 0.813
Tm: 0.000 0.630 0.187
Tm: 0.370 0.000 0.813
Tm: 0.370 0.370 0.187
Tm: 0.630 0.000 0.187
Tm: 0.630 0.630 0.813

=====

(5)
For U2PaNi2S6, a DFT-relaxed cell (PBE, Alexandria) gives the calculated powder X-ray diffraction pattern in this record (Cu Kα (weighted mean of Kα1 and Kα2)).
Neutral-atom scattering factors, no anomalous dispersion.

Top 10 peaks for 2θ = 5–70°, by angle:
d = 5.973 Å, rel. 63
d = 3.248 Å, rel. 88
d = 2.987 Å, rel. 18
d = 2.854 Å, rel. 88
d = 2.199 Å, rel. 100
d = 1.875 Å, rel. 38
d = 1.789 Å, rel. 18
d = 1.698 Å, rel. 16
d = 1.588 Å, rel. 18
d = 1.427 Å, rel. 25

Cell and atoms:
a = 6.496 Å, b = 6.496 Å, c = 5.973 Å
α = 90.00°, β = 90.00°, γ = 120.00°
Fractional coordinates of all 11 atoms:
U: 0.333 0.667 0.000
U: 0.667 0.333 0.000
Pa: 0.000 0.000 0.000
Ni: 0.333 0.667 0.500
Ni: 0.667 0.333 0.500
S: 0.000 0.341 0.275
S: 0.000 0.659 0.725
S: 0.341 0.000 0.275
S: 0.341 0.341 0.725
S: 0.659 0.000 0.725
S: 0.659 0.659 0.275

=====

(6)
For Ce2Co3B12Os, a DFT-relaxed cell (PBE, Alexandria) gives the calculated powder X-ray diffraction pattern in this record (Cu Kα (weighted mean of Kα1 and Kα2)).
Neutral-atom scattering factors, no anomalous dispersion.

Top 10 peaks for 2θ = 5–70°, by angle:
d = 7.552 Å, rel. 48
d = 3.776 Å, rel. 34
d = 3.272 Å, rel. 43
d = 2.731 Å, rel. 39
d = 2.569 Å, rel. 100
d = 2.430 Å, rel. 20
d = 2.213 Å, rel. 21
d = 1.888 Å, rel. 24
d = 1.815 Å, rel. 24
d = 1.544 Å, rel. 22

Cell and atoms:
a = 8.184 Å, b = 8.184 Å, c = 8.184 Å
α = 38.99°, β = 38.99°, γ = 38.99°
Fractional coordinates of all 18 atoms:
Ce: 0.140 0.140 0.140
Ce: 0.860 0.860 0.860
Co: 0.000 0.500 0.500
Co: 0.500 0.000 0.500
Co: 0.500 0.500 0.000
B: 0.159 0.159 0.475
B: 0.159 0.475 0.159
B: 0.166 0.553 0.553
B: 0.447 0.447 0.834
B: 0.447 0.834 0.447
B: 0.475 0.159 0.159
B: 0.525 0.841 0.841
B: 0.553 0.166 0.553
B: 0.553 0.553 0.166
B: 0.834 0.447 0.447
B: 0.841 0.525 0.841
B: 0.841 0.841 0.525
Os: 0.500 0.500 0.500